Starting from a structure optimized by DFT (GGA+U), the powder X-ray diffraction pattern of Na2Li4Ni2C4SO16 was calculated for Cu Ka.
Neutral-atom scattering factors, no anomalous dispersion.

Principal peaks in the range 2θ from 15° to 90°, low angle first:
d 4.763, I 31; d 4.173, I 100; d 3.978, I 70; d 3.480, I 39; d 2.673, I 73; d 2.380, I 46; d 2.244, I 29; d 2.086, I 24

Crystal structure
a = 13.048 Å, b = 13.910 Å, c = 13.940 Å
α = 90.00°, β = 90.00°, γ = 90.00°
Space group Fddd (No. 70, origin choice 2)
One atom of each set of equivalent atoms:
Na 0.125 0.349 0.125 x16
Li 0.095 0.263 0.335 x32
Ni 0.000 0.000 0.500 x16
C 0.024 0.035 0.717 x32
S 0.125 0.125 0.125 x8
O 0.014 0.275 0.603 x32
O 0.045 0.352 0.978 x32
O 0.059 0.062 0.063 x32
O 0.098 0.026 0.779 x32